Theoretical powder diffractogram
Compound: Pm3DyIn2
Radiation: copper Kα
Structure: the GGA-PBE geometry in Alexandria
Neutral-atom scattering factors, no anomalous dispersion.

```
Pm3DyIn2
1.0
5.296 0.000 0.000
0.000 10.024 0.000
0.000 0.000 6.817
Pm Dy In
6 2 4
Direct
0.000 0.036 0.000 Pm
0.000 0.325 0.340 Pm
0.000 0.675 0.840 Pm
0.000 0.964 0.500 Pm
0.500 0.181 0.726 Pm
0.500 0.819 0.226 Pm
0.500 0.462 0.063 Dy
0.500 0.538 0.563 Dy
0.000 0.356 0.823 In
0.000 0.644 0.323 In
0.500 0.146 0.245 In
0.500 0.854 0.745 In
```

Peak list (10 most intense, 2θ from 15° to 90°, in order of rising 2θ)
2theta	intensity
27.8	10
31.2	25
31.7	100
32.5	63
33.8	40
37.7	12
47.1	18
57.4	15
59.2	12
59.7	11

Theoretical powder diffractogram
Compound: Pm8Dy3In
Radiation: copper Kα
Structure: the GGA-PBE geometry in Alexandria
Neutral-atom scattering factors, no anomalous dispersion.

```
Pm8Dy3In
1.0
-4.349 4.349 5.750
4.349 -4.349 5.750
4.349 4.349 -5.750
Pm Dy In
8 3 1
Direct
0.120 0.120 0.746 Pm
0.228 0.228 0.491 Pm
0.263 0.772 0.000 Pm
0.374 0.374 0.254 Pm
0.626 0.880 0.000 Pm
0.737 0.737 0.509 Pm
0.772 0.263 0.000 Pm
0.880 0.626 0.000 Pm
0.000 0.000 0.000 Dy
0.250 0.750 0.500 Dy
0.750 0.250 0.500 Dy
0.500 0.500 0.000 In
```

Peak list (10 most intense, 2θ from 15° to 90°, in order of rising 2θ)
2theta	intensity
24.2	61
25.7	54
29.0	76
31.1	67
32.8	30
36.2	100
43.1	47
44.5	42
56.3	26
58.7	29

Theoretical powder diffractogram
Compound: Pm4Dy5In2
Radiation: copper Kα
Structure: the GGA-PBE geometry in Alexandria
Neutral-atom scattering factors, no anomalous dispersion.

```
Pm4Dy5In2
1.0
2.629 1.518 15.673
-2.629 1.518 15.673
0.000 -3.036 15.673
Pm Dy In
4 5 2
Direct
0.073 0.073 0.073 Pm
0.226 0.226 0.226 Pm
0.774 0.774 0.774 Pm
0.927 0.927 0.927 Pm
0.000 0.000 0.000 Dy
0.148 0.148 0.148 Dy
0.303 0.303 0.303 Dy
0.697 0.697 0.697 Dy
0.852 0.852 0.852 Dy
0.378 0.378 0.378 In
0.622 0.622 0.622 In
```

Peak list (10 most intense, 2θ from 15° to 90°, in order of rising 2θ)
2theta	intensity
19.6	22
31.6	100
33.1	28
34.1	96
47.2	33
54.6	13
59.5	33
61.0	18
64.2	18
80.6	14

Theoretical powder diffractogram
Compound: Pm3DyIn3
Radiation: copper Kα
Structure: the GGA-PBE geometry in Alexandria
Neutral-atom scattering factors, no anomalous dispersion.

```
Pm3DyIn3
1.0
9.483 0.000 0.000
0.000 9.483 0.000
0.000 0.000 9.483
Pm Dy In
12 4 12
Direct
0.071 0.429 0.571 Pm
0.172 0.828 0.328 Pm
0.176 0.176 0.176 Pm
0.324 0.824 0.676 Pm
0.328 0.172 0.828 Pm
0.429 0.571 0.071 Pm
0.571 0.071 0.429 Pm
0.672 0.672 0.672 Pm
0.676 0.324 0.824 Pm
0.824 0.676 0.324 Pm
0.828 0.328 0.172 Pm
0.929 0.929 0.929 Pm
0.076 0.576 0.924 Dy
0.424 0.424 0.424 Dy
0.576 0.924 0.076 Dy
0.924 0.076 0.576 Dy
0.002 0.254 0.870 In
0.130 0.502 0.246 In
0.246 0.130 0.502 In
0.254 0.870 0.002 In
0.370 0.498 0.746 In
0.498 0.746 0.370 In
0.502 0.246 0.130 In
0.630 0.998 0.754 In
0.746 0.370 0.498 In
0.754 0.630 0.998 In
0.870 0.002 0.254 In
0.998 0.754 0.630 In
```

Peak list (10 most intense, 2θ from 15° to 90°, in order of rising 2θ)
2theta	intensity
29.8	100
35.4	74
42.6	10
46.9	20
49.0	22
60.1	26
61.9	12
63.6	15
73.4	13
88.7	11

Theoretical powder diffractogram
Compound: Pm4Dy15In
Radiation: copper Kα
Structure: the GGA-PBE geometry in Alexandria
Neutral-atom scattering factors, no anomalous dispersion.

```
Pm4Dy15In
1.0
4.989 0.000 0.000
0.000 4.989 0.000
0.000 0.000 25.249
Pm Dy In
4 15 1
Direct
0.000 0.000 0.101 Pm
0.000 0.000 0.302 Pm
0.000 0.000 0.698 Pm
0.000 0.000 0.899 Pm
0.000 0.500 0.000 Dy
0.000 0.500 0.202 Dy
0.000 0.500 0.404 Dy
0.000 0.500 0.596 Dy
0.000 0.500 0.798 Dy
0.500 0.000 0.000 Dy
0.500 0.000 0.202 Dy
0.500 0.000 0.404 Dy
0.500 0.000 0.596 Dy
0.500 0.000 0.798 Dy
0.500 0.500 0.102 Dy
0.500 0.500 0.305 Dy
0.500 0.500 0.500 Dy
0.500 0.500 0.695 Dy
0.500 0.500 0.898 Dy
0.000 0.000 0.500 In
```

Peak list (10 most intense, 2θ from 15° to 90°, in order of rising 2θ)
2theta	intensity
30.9	100
35.6	17
36.0	34
51.5	24
51.8	12
61.0	14
61.6	28
64.4	12
84.1	11
84.6	6

Theoretical powder diffractogram
Compound: Pm3Dy4In4
Radiation: copper Kα
Structure: the GGA-PBE geometry in Alexandria
Neutral-atom scattering factors, no anomalous dispersion.

```
Pm3Dy4In4
1.0
-2.655 3.514 8.853
2.655 -3.514 8.853
2.655 3.514 -8.853
Pm Dy In
3 4 4
Direct
0.000 0.000 0.000 Pm
0.397 0.897 0.500 Pm
0.603 0.103 0.500 Pm
0.056 0.321 0.735 Dy
0.414 0.679 0.735 Dy
0.586 0.321 0.265 Dy
0.944 0.679 0.265 Dy
0.177 0.177 0.000 In
0.286 0.500 0.786 In
0.714 0.500 0.214 In
0.823 0.823 0.000 In
```

Peak list (10 most intense, 2θ from 15° to 90°, in order of rising 2θ)
2theta	intensity
28.2	25
29.2	20
30.3	54
30.9	100
33.8	51
34.2	28
37.1	22
39.9	39
58.6	23
66.2	23

Theoretical powder diffractogram
Compound: PmDyIn4
Radiation: copper Kα
Structure: the GGA-PBE geometry in Alexandria
Neutral-atom scattering factors, no anomalous dispersion.

```
PmDyIn4
1.0
-2.512 3.575 4.358
2.512 -3.575 4.358
2.512 3.575 -4.358
Pm Dy In
1 1 4
Direct
0.000 0.000 0.000 Pm
0.499 0.999 0.500 Dy
0.095 0.333 0.763 In
0.430 0.666 0.764 In
0.570 0.333 0.237 In
0.902 0.666 0.236 In
```

Peak list (10 most intense, 2θ from 15° to 90°, in order of rising 2θ)
2theta	intensity
32.4	100
35.7	80
49.0	31
51.1	9
62.1	30
63.9	27
64.2	14
84.2	6
84.7	9
86.3	12

Theoretical powder diffractogram
Compound: Pm3DyIn4
Radiation: copper Kα
Structure: the GGA-PBE geometry in Alexandria
Neutral-atom scattering factors, no anomalous dispersion.

```
Pm3DyIn4
1.0
3.821 0.000 0.000
0.000 3.821 0.000
0.000 0.000 15.355
Pm Dy In
3 1 4
Direct
0.000 0.000 0.000 Pm
0.000 0.000 0.254 Pm
0.000 0.000 0.746 Pm
0.000 0.000 0.500 Dy
0.500 0.500 0.127 In
0.500 0.500 0.382 In
0.500 0.500 0.618 In
0.500 0.500 0.873 In
```

Peak list (10 most intense, 2θ from 15° to 90°, in order of rising 2θ)
2theta	intensity
33.1	100
47.4	6
47.6	12
59.0	12
59.2	25
69.4	7
69.6	4
78.9	5
79.3	11
88.5	4

Theoretical powder diffractogram
Compound: Pm2Dy2In
Radiation: copper Kα
Structure: the GGA-PBE geometry in Alexandria
Neutral-atom scattering factors, no anomalous dispersion.

```
Pm2Dy2In
1.0
5.465 0.000 0.000
-2.732 4.733 0.000
0.000 0.000 12.236
Pm Dy In
4 4 2
Direct
0.333 0.667 0.089 Pm
0.333 0.667 0.411 Pm
0.667 0.333 0.589 Pm
0.667 0.333 0.911 Pm
0.000 0.000 0.000 Dy
0.000 0.000 0.500 Dy
0.333 0.667 0.750 Dy
0.667 0.333 0.250 Dy
0.000 0.000 0.250 In
0.000 0.000 0.750 In
```

Peak list (10 most intense, 2θ from 15° to 90°, in order of rising 2θ)
2theta	intensity
28.9	80
32.8	100
34.9	26
44.3	25
44.4	15
48.6	19
56.1	25
56.3	13
58.5	19
59.9	16

Theoretical powder diffractogram
Compound: Pm2Dy4In
Radiation: copper Kα
Structure: the GGA-PBE geometry in Alexandria
Neutral-atom scattering factors, no anomalous dispersion.

```
Pm2Dy4In
1.0
6.505 0.000 0.000
0.000 6.283 0.000
0.000 0.000 10.744
Pm Dy In
4 8 2
Direct
0.000 0.244 0.042 Pm
0.000 0.756 0.958 Pm
0.500 0.244 0.458 Pm
0.500 0.756 0.542 Pm
0.000 0.068 0.346 Dy
0.000 0.932 0.654 Dy
0.250 0.401 0.750 Dy
0.250 0.599 0.250 Dy
0.500 0.068 0.154 Dy
0.500 0.932 0.846 Dy
0.750 0.401 0.750 Dy
0.750 0.599 0.250 Dy
0.000 0.500 0.500 In
0.500 0.500 0.000 In
```

Peak list (10 most intense, 2θ from 15° to 90°, in order of rising 2θ)
2theta	intensity
28.4	38
28.7	40
29.6	52
31.0	36
31.9	56
32.1	100
32.7	84
35.3	57
36.4	41
51.9	24

Theoretical powder diffractogram
Compound: Pm8Dy5In
Radiation: copper Kα
Structure: the GGA-PBE geometry in Alexandria
Neutral-atom scattering factors, no anomalous dispersion.

```
Pm8Dy5In
1.0
7.747 -4.201 0.000
7.747 4.201 0.000
-4.437 0.000 7.225
Pm Dy In
8 5 1
Direct
0.114 0.522 0.083 Pm
0.123 0.123 0.180 Pm
0.417 0.229 0.779 Pm
0.478 0.886 0.917 Pm
0.588 0.042 0.428 Pm
0.771 0.583 0.221 Pm
0.877 0.877 0.820 Pm
0.958 0.412 0.572 Pm
0.043 0.957 0.500 Dy
0.271 0.530 0.547 Dy
0.470 0.729 0.453 Dy
0.653 0.252 0.227 Dy
0.748 0.347 0.773 Dy
0.341 0.659 0.000 In
```

Peak list (10 most intense, 2θ from 15° to 90°, in order of rising 2θ)
2theta	intensity
24.7	27
30.0	32
30.7	78
31.1	32
31.2	56
31.5	43
32.7	100
33.7	16
39.2	15
59.0	17

Theoretical powder diffractogram
Compound: Pm2Dy3In
Radiation: copper Kα
Structure: the GGA-PBE geometry in Alexandria
Neutral-atom scattering factors, no anomalous dispersion.

```
Pm2Dy3In
1.0
-2.571 4.676 7.733
2.571 -4.676 7.733
2.571 4.676 -7.733
Pm Dy In
4 6 2
Direct
0.275 0.025 0.250 Pm
0.426 0.676 0.750 Pm
0.574 0.324 0.250 Pm
0.725 0.975 0.750 Pm
0.000 0.500 0.500 Dy
0.129 0.171 0.958 Dy
0.287 0.829 0.458 Dy
0.500 0.500 0.000 Dy
0.713 0.171 0.542 Dy
0.871 0.829 0.042 Dy
0.105 0.355 0.750 In
0.895 0.645 0.250 In
```

Peak list (10 most intense, 2θ from 15° to 90°, in order of rising 2θ)
2theta	intensity
30.5	12
31.1	100
34.9	39
38.5	11
50.1	12
52.9	15
57.6	7
60.1	9
60.2	15
64.9	7